# AlCuSeS
Theoretical powder diffraction line list, Cu Kα (λ = 1.5418 Å). Input: a GGA-PBE-relaxed structure.
Lines closer than 0.1° are merged.

Largest 10 diffraction maxima, most intense first, 2θ = 10–90°:
2theta	Rel. int.	hkl
28.3	100	1 1 2
47.1	45	0 2 4
46.9	23	2 2 0
55.6	14	1 3 2
55.7	14	3 1 2
56.0	13	1 1 6
18.1	10	1 0 1
76.0	10	1 3 6
36.7	8	2 0 2
22.9	8	1 1 0

Structure:
Cell lengths 5.4738, 5.4883, 10.8694 Å; angles 90.00, 90.00, 90.00 degrees
Space group I2_12_12_1 (No. 24)
Inequivalent atoms, fractional coordinates:
Al 0.0000 0.2500 0.1309 x4
Cu 0.0000 0.2500 0.6372 x4
Se 0.2500 0.4990 0.5000 x4
S 0.2398 0.0000 0.2500 x4

***

# AlCuSnS4
Theoretical powder diffraction line list, Cu Kα (λ = 1.5418 Å). Input: a GGA-PBE-relaxed structure.
Lines closer than 0.1° are merged.

Largest 10 diffraction maxima, most intense first, 2θ = 10–90°:
2theta	Rel. int.	hkl
28.7	100	1 2 1
50.2	84	2 2 4
34.9	68	2 2 0
28.9	60	1 0 3
15.0	42	1 0 1
24.7	34	2 0 0
46.0	27	3 2 1
24.5	25	1 1 2
17.3	22	0 0 2
49.8	21	0 4 0

Structure:
Cell lengths 7.2136, 7.3309, 10.2684 Å; angles 90.00, 90.00, 90.00 degrees
Space group Imma (No. 74)
Inequivalent atoms, fractional coordinates:
Al 0.2500 0.2500 0.2500 x4
Cu 0.0000 0.2500 0.6298 x4
Sn 0.0000 0.0000 0.0000 x4
S 0.0000 0.0216 0.2506 x8
S 0.2494 0.2500 0.4883 x8

***

# ScAlCu2
Theoretical powder diffraction line list, Cu Kα (λ = 1.5418 Å). Input: a GGA-PBE-relaxed structure.
Lines closer than 0.1° are merged.

Largest 10 diffraction maxima, most intense first, 2θ = 10–90°:
2theta	Rel. int.	hkl
41.1	100	1 0 2
40.4	55	1 1 0
73.9	31	2 1 2
58.5	17	2 0 0
28.3	14	1 0 0
75.2	13	1 1 4
89.1	8	2 0 4
60.4	6	0 0 4
31.9	6	1 0 1
29.2	6	0 0 2

Structure:
Cell lengths 3.1575, 3.1575, 6.1264 Å; angles 90.00, 90.00, 90.00 degrees
Space group P4/mmm (No. 123)
Inequivalent atoms, fractional coordinates:
Sc 0.0000 0.0000 0.0000 x1
Al 0.0000 0.0000 0.5000 x1
Cu 0.5000 0.5000 0.2707 x2